Li2MnOF3: computed PXRD pattern (copper Kα), based on the GGA+U geometry in Alexandria.
Kinematic intensities with the Lorentz-polarization factor, no thermal factor.

Cell and atoms:
a = 5.711 Å, b = 5.711 Å, c = 5.272 Å
α = 90.34°, β = 90.34°, γ = 61.29°
Fractional positions:
Li  0.182  0.182  0.491
Li  0.511  0.075  0.028
Li  0.818  0.818  0.509
Li  0.925  0.489  0.972
Mn  0.219  0.781  0.000
Mn  0.466  0.534  0.500
O  0.146  0.660  0.309
O  0.340  0.854  0.691
F  0.132  0.148  0.135
F  0.329  0.403  0.835
F  0.573  0.165  0.374
F  0.597  0.671  0.165
F  0.835  0.427  0.626
F  0.852  0.868  0.865

Main lines, low angle first (10° ≤ 2θ ≤ 80°):
2θ 17.71, d 5.009, I = 100; 2θ 18.05, d 4.914, I = 55; 2θ 24.51, d 3.632, I = 92; 2θ 31.33, d 2.855, I = 32; 2θ 38.65, d 2.329, I = 48; 2θ 39.90, d 2.259, I = 75; 2θ 51.59, d 1.772, I = 27; 2θ 51.77, d 1.766, I = 23